For DyLuTl, the GGA-PBE geometry in Alexandria gives the computed X-ray powder pattern in this record (a wavelength of 1.5418 Å).
Kinematic intensities with the Lorentz-polarization factor, no thermal factor.

Structure:
a b c (Å): 5.2172 5.2172 3.6712
angles (deg): 90.00 90.00 120.00
Space group P-6m2 (No. 187)
Symmetry-distinct sites (fractional):
Dy 0.0000 0.0000 0.0000 (multiplicity 1)
Lu 0.3333 0.6667 0.5000 (multiplicity 1)
Tl 0.6667 0.3333 0.5000 (multiplicity 1)

Main lines, by angle (10° ≤ 2θ ≤ 90°):
2θ/deg  I_rel  index
24.24  12  0 0 1
31.40  100  1 0 1
34.38  93  1 1 0
42.51  17  1 1 1
47.24  33  2 0 1
59.72  33  2 1 1
61.58  18  3 0 0
61.80  35  1 1 2
81.09  14  3 1 1
82.92  15  3 0 2

---

For DyTmLu2, the GGA-PBE geometry in Alexandria gives the computed X-ray powder pattern in this record (a wavelength of 1.5418 Å).
Kinematic intensities with the Lorentz-polarization factor, no thermal factor.

Structure:
a b c (Å): 4.9253 4.9253 4.9116
angles (deg): 90.00 90.00 90.00
Space group P4/mmm (No. 123)
Symmetry-distinct sites (fractional):
Dy 0.0000 0.0000 0.0000 (multiplicity 1)
Tm 0.5000 0.5000 0.0000 (multiplicity 1)
Lu 0.0000 0.5000 0.5000 (multiplicity 2)

Main lines, by angle (10° ≤ 2θ ≤ 90°):
2θ/deg  I_rel  index
31.49  100  1 1 1
36.49  34  2 0 0
36.59  17  0 0 2
52.61  36  2 2 0
62.56  28  3 1 1
62.71  14  1 1 3
65.74  12  2 2 2
86.06  6  3 3 1
86.18  12  3 1 3
88.88  11  4 2 0

---

For Dy4Mg, the GGA-PBE geometry in Alexandria gives the computed X-ray powder pattern in this record (a wavelength of 1.5418 Å).
Kinematic intensities with the Lorentz-polarization factor, no thermal factor.

Structure:
a b c (Å): 6.1254 3.5442 14.1086
angles (deg): 90.00 98.32 90.00
Space group C2/m (No. 12)
Symmetry-distinct sites (fractional):
Dy 0.1026 0.0000 0.3092 (multiplicity 4)
Dy 0.1321 0.5000 0.8962 (multiplicity 4)
Mg 0.0000 0.5000 0.5000 (multiplicity 2)

Main lines, by angle (10° ≤ 2θ ≤ 90°):
2θ/deg  I_rel  index
12.68  13  0 0 2
30.38  100  2 0 -2
32.06  39  0 0 5
32.82  35  1 1 2
33.88  53  1 1 -3
37.67  44  2 0 3
51.03  27  2 0 -7
51.63  32  0 2 0
59.00  15  1 1 -8
62.08  35  3 1 4

---

For Dy2Mg7, the GGA-PBE geometry in Alexandria gives the computed X-ray powder pattern in this record (a wavelength of 1.5418 Å).
Kinematic intensities with the Lorentz-polarization factor, no thermal factor.

Structure:
a b c (Å): 6.0004 6.0004 43.9692
angles (deg): 90.00 90.00 120.00
Space group R-3m (No. 166, hexagonal axes)
Symmetry-distinct sites (fractional):
Dy 0.0000 0.0000 0.0577 (multiplicity 6)
Dy 0.0000 0.0000 0.1517 (multiplicity 6)
Mg 0.0000 0.0000 0.2778 (multiplicity 6)
Mg 0.0000 0.0000 0.3894 (multiplicity 6)
Mg 0.0000 0.0000 0.5000 (multiplicity 3)
Mg 0.0000 0.5000 0.0000 (multiplicity 9)
Mg 0.0047 0.5023 0.8883 (multiplicity 18)

Main lines, by angle (10° ≤ 2θ ≤ 90°):
2θ/deg  I_rel  index
17.18  62  1 0 1
18.16  28  0 0 9
26.56  66  1 0 10
28.17  25  0 1 11
29.78  68  1 1 0
34.58  35  0 2 1
35.10  100  1 1 9
50.91  30  2 1 10
56.36  25  3 0 9
61.85  18  2 2 0

---

For DyMg12, the GGA-PBE geometry in Alexandria gives the computed X-ray powder pattern in this record (a wavelength of 1.5418 Å).
Kinematic intensities with the Lorentz-polarization factor, no thermal factor.

Structure:
a b c (Å): 10.1801 10.1801 5.9729
angles (deg): 90.00 90.00 90.00
Space group I4/mmm (No. 139)
Symmetry-distinct sites (fractional):
Dy 0.0000 0.0000 0.0000 (multiplicity 2)
Mg 0.0000 0.2111 0.5000 (multiplicity 8)
Mg 0.0000 0.3496 0.0000 (multiplicity 8)
Mg 0.2500 0.2500 0.2500 (multiplicity 8)

Main lines, by angle (10° ≤ 2θ ≤ 90°):
2θ/deg  I_rel  index
12.30  61  1 1 0
17.21  52  1 0 1
24.59  72  2 1 1
27.71  31  3 1 0
30.29  59  3 0 1
34.83  64  2 0 2
35.16  100  3 2 1
35.27  42  4 0 0
47.16  21  4 3 1
56.56  25  3 2 3

---

For Dy3Mg2, the GGA-PBE geometry in Alexandria gives the computed X-ray powder pattern in this record (a wavelength of 1.5418 Å).
Kinematic intensities with the Lorentz-polarization factor, no thermal factor.

Structure:
a b c (Å): 3.7214 3.7214 20.2801
angles (deg): 90.00 90.00 90.00
Space group P4/mmm (No. 123)
Symmetry-distinct sites (fractional):
Dy 0.0000 0.0000 0.0000 (multiplicity 1)
Dy 0.0000 0.0000 0.1900 (multiplicity 2)
Dy 0.0000 0.0000 0.3825 (multiplicity 2)
Dy 0.5000 0.5000 0.5000 (multiplicity 1)
Mg 0.5000 0.5000 0.0954 (multiplicity 2)
Mg 0.5000 0.5000 0.2853 (multiplicity 2)

Main lines, by angle (10° ≤ 2θ ≤ 90°):
2θ/deg  I_rel  index
21.91  16  0 0 5
23.91  32  1 0 0
29.78  11  1 0 4
32.66  100  1 0 5
34.07  51  1 1 0
40.88  13  1 1 5
48.95  18  2 0 0
57.36  13  1 1 10
60.09  37  2 1 5
81.07  9  3 0 5